The following is a computed powder X-ray diffraction pattern of BaNdNi4O12. It was derived from a structure optimized by DFT (PBE+U), using a wavelength of 1.5418 Å.
Kinematic intensities with the Lorentz-polarization factor, no thermal factor.

Crystal structure
```
18
Lattice="5.476 0.000 0.000 0.000 5.476 0.000 0.000 0.000 7.721" Properties=species:S:1:pos:R:3 pbc="T T T"
Ba 0.000 0.000 0.000
Nd 2.738 2.738 3.861
Ni 0.000 2.738 1.934
Ni 0.000 2.738 5.787
Ni 2.738 0.000 1.934
Ni 2.738 0.000 5.787
O 0.000 2.738 0.000
O 0.000 2.738 3.861
O 1.445 1.445 2.066
O 1.445 1.445 5.655
O 1.445 4.031 2.066
O 1.445 4.031 5.655
O 2.738 0.000 0.000
O 2.738 0.000 3.861
O 4.031 1.445 2.066
O 4.031 1.445 5.655
O 4.031 4.031 2.066
O 4.031 4.031 5.655
```

Largest 10 diffraction maxima, most intense first, 2θ = 15–90°:
- hkl 2 0 0, 32.74°, I = 100.0
- hkl 1 0 1, 19.88°, I = 80.7
- hkl 2 1 1, 38.60°, I = 43.2
- hkl 2 0 4, 58.44°, I = 39.1
- hkl 2 2 0, 46.93°, I = 27.6
- hkl 2 1 3, 51.49°, I = 19.2
- hkl 2 2 4, 68.66°, I = 15.2
- hkl 0 0 4, 47.08°, I = 13.4
- hkl 3 0 3, 62.33°, I = 11.1
- hkl 4 2 0, 78.06°, I = 11.0